Record 1
Starting from a GGA-PBE-relaxed structure, the powder diffraction line list of Mg2Ta was computed for copper Kα.
No peak broadening, texture or thermal motion is included.

Crystal structure
```
data_Mg2Ta
_symmetry_space_group_name_H-M 'I m m m'
_symmetry_Int_Tables_number 71
_symmetry_space_group_name_Hall '-I 2 2'
_cell_length_a 2.819
_cell_length_b 4.224
_cell_length_c 9.967
_cell_angle_alpha 90.00
_cell_angle_beta 90.00
_cell_angle_gamma 90.00
loop_
_atom_site_label
_atom_site_type_symbol
_atom_site_fract_x
_atom_site_fract_y
_atom_site_fract_z
_atom_site_occupancy
Mg1 Mg 0.000 0.000 0.169 1
Ta1 Ta 0.000 0.000 0.500 1
```

Top 12 peaks for 10° ≤ 2θ ≤ 80°, sorted by position:
d (Å)  Position (°2θ)  Rel. int.  (hkl)
4.983  17.80  87  0 0 2
3.889  22.87  100  0 1 1
2.712  33.02  40  1 0 1
2.611  34.34  81  0 1 3
2.345  38.39  60  1 1 0
2.149  42.04  47  1 0 3
2.122  42.61  39  1 1 2
2.112  42.82  22  0 2 0
1.708  53.68  21  1 1 4
1.666  55.11  19  1 2 1
1.506  61.56  30  1 2 3
1.356  69.32  26  1 1 6



Record 2
Starting from a GGA-PBE-relaxed structure, the powder diffraction line list of Er4Sb2O was computed for copper Kα.
No peak broadening, texture or thermal motion is included.

Crystal structure
```
data_Er4Sb2O
_symmetry_space_group_name_H-M 'I 4/m m m'
_symmetry_Int_Tables_number 139
_symmetry_space_group_name_Hall '-I 4 2'
_cell_length_a 4.447
_cell_length_b 4.447
_cell_length_c 16.856
_cell_angle_alpha 90.00
_cell_angle_beta 90.00
_cell_angle_gamma 90.00
loop_
_atom_site_label
_atom_site_type_symbol
_atom_site_fract_x
_atom_site_fract_y
_atom_site_fract_z
_atom_site_occupancy
Er1 Er 0.000 0.000 0.180 1
Er2 Er 0.000 0.500 0.000 1
Sb1 Sb 0.000 0.000 0.363 1
O1 O 0.000 0.000 0.000 1
```

Top 12 peaks for 10° ≤ 2θ ≤ 80°, sorted by position:
d (Å)  Position (°2θ)  Rel. int.  (hkl)
2.946  30.34  100  1 1 2
2.809  31.85  38  0 0 6
2.686  33.35  37  1 0 5
2.520  35.63  76  1 1 4
2.223  40.58  61  2 0 0
1.743  52.49  37  2 0 6
1.713  53.50  19  2 1 5
1.572  58.73  21  2 2 0
1.387  67.54  21  3 1 2
1.372  68.38  17  2 2 6
1.334  70.61  21  3 1 4
1.214  78.86  14  2 1 11



Record 3
Starting from a GGA-PBE-relaxed structure, the powder diffraction line list of CsHoAuS2 was computed for copper Kα.
No peak broadening, texture or thermal motion is included.

Crystal structure
```
data_CsHoAuS2
_symmetry_space_group_name_H-M 'P 1 2/c 1'
_symmetry_Int_Tables_number 13
_cell_length_a 8.004
_cell_length_b 5.076
_cell_length_c 7.702
_cell_angle_alpha 90.00
_cell_angle_beta 99.64
_cell_angle_gamma 90.00
loop_
_symmetry_equiv_pos_as_xyz
'x,y,z'
'-x,-y,-z'
'-x,y,-z+1/2'
'x,-y,z+1/2'
loop_
_atom_site_label
_atom_site_type_symbol
_atom_site_fract_x
_atom_site_fract_y
_atom_site_fract_z
_atom_site_occupancy
Cs1 Cs 0.000 0.147 0.250 1
Ho1 Ho 0.500 0.495 0.750 1
Au1 Au 0.500 0.000 0.000 1
S1 S 0.281 0.355 0.963 1
```

Top 12 peaks for 10° ≤ 2θ ≤ 80°, sorted by position:
d (Å)  Position (°2θ)  Rel. int.  (hkl)
7.891  11.21  100  1 0 0
3.946  22.53  66  2 0 0
3.585  24.84  16  1 1 1
3.040  29.38  23  0 1 2
2.974  30.05  61  1 1 -2
2.717  32.96  57  1 1 2
2.581  34.75  23  2 1 -2
2.416  37.22  31  1 2 0
2.266  39.77  24  2 1 2
2.135  42.32  48  3 1 -2
1.973  46.01  16  4 0 0
1.869  48.72  19  3 1 2



Record 4
Starting from a GGA-PBE-relaxed structure, the powder diffraction line list of Ca6CeS8 was computed for copper Kα.
No peak broadening, texture or thermal motion is included.

Crystal structure
```
data_Ca6CeS8
_symmetry_space_group_name_H-M 'F m -3 m'
_symmetry_Int_Tables_number 225
_symmetry_space_group_name_Hall '-F 4 2 3'
_cell_length_a 11.456
_cell_length_b 11.456
_cell_length_c 11.456
_cell_angle_alpha 90.00
_cell_angle_beta 90.00
_cell_angle_gamma 90.00
loop_
_atom_site_label
_atom_site_type_symbol
_atom_site_fract_x
_atom_site_fract_y
_atom_site_fract_z
_atom_site_occupancy
Ca1 Ca 0.000 0.250 0.250 1
Ce1 Ce 0.000 0.000 0.000 1
S1 S 0.000 0.000 0.238 1
S2 S 0.250 0.250 0.250 1
```

Top 12 peaks for 10° ≤ 2θ ≤ 80°, sorted by position:
d (Å)  Position (°2θ)  Rel. int.  (hkl)
6.614  13.39  55  1 1 1
3.454  25.79  27  3 1 1
3.307  26.96  7  2 2 2
2.864  31.23  100  4 0 0
2.628  34.11  10  3 3 1
2.205  40.93  14  5 1 1
2.025  44.75  67  4 4 0
1.936  46.92  14  5 3 1
1.654  55.58  22  4 4 4
1.604  57.44  8  5 5 1
1.432  65.14  10  8 0 0
1.281  74.01  27  8 4 0



Record 5
Starting from a GGA-PBE-relaxed structure, the powder diffraction line list of NpBeSi2Ni was computed for copper Kα.
No peak broadening, texture or thermal motion is included.

Crystal structure
```
data_NpBeSi2Ni
_symmetry_space_group_name_H-M 'I -4 m 2'
_symmetry_Int_Tables_number 119
_symmetry_space_group_name_Hall 'I -4 -2'
_cell_length_a 3.864
_cell_length_b 3.864
_cell_length_c 9.768
_cell_angle_alpha 90.00
_cell_angle_beta 90.00
_cell_angle_gamma 90.00
loop_
_atom_site_label
_atom_site_type_symbol
_atom_site_fract_x
_atom_site_fract_y
_atom_site_fract_z
_atom_site_occupancy
Np1 Np 0.000 0.000 0.000 1
Be1 Be 0.000 0.500 0.750 1
Si1 Si 0.000 0.000 0.377 1
Ni1 Ni 0.000 0.500 0.250 1
```

Top 12 peaks for 10° ≤ 2θ ≤ 80°, sorted by position:
d (Å)  Position (°2θ)  Rel. int.  (hkl)
4.884  18.16  33  0 0 2
3.593  24.78  100  1 0 1
2.732  32.78  30  1 1 0
2.490  36.07  76  1 0 3
2.442  36.80  14  0 0 4
2.385  37.73  82  1 1 2
1.932  47.03  30  2 0 0
1.744  52.48  27  1 0 5
1.702  53.88  26  2 1 1
1.526  60.67  34  2 1 3
1.399  66.90  15  1 1 6
1.294  73.11  21  2 1 5



Record 6
Starting from a GGA-PBE-relaxed structure, the powder diffraction line list of LaPPd2Pt2 was computed for copper Kα.
No peak broadening, texture or thermal motion is included.

Crystal structure
```
data_LaPPd2Pt2
_symmetry_space_group_name_H-M 'P 4/m m m'
_symmetry_Int_Tables_number 123
_symmetry_space_group_name_Hall '-P 4 2'
_cell_length_a 4.632
_cell_length_b 4.632
_cell_length_c 5.623
_cell_angle_alpha 90.00
_cell_angle_beta 90.00
_cell_angle_gamma 90.00
loop_
_atom_site_label
_atom_site_type_symbol
_atom_site_fract_x
_atom_site_fract_y
_atom_site_fract_z
_atom_site_occupancy
La1 La 0.000 0.000 0.000 1
P1 P 0.000 0.000 0.500 1
Pd1 Pd 0.500 0.500 0.239 1
Pt1 Pt 0.000 0.500 0.500 1
```

Top 12 peaks for 10° ≤ 2θ ≤ 80°, sorted by position:
d (Å)  Position (°2θ)  Rel. int.  (hkl)
5.623  15.76  36  0 0 1
2.830  31.62  100  1 1 1
2.403  37.42  36  1 0 2
2.316  38.89  66  2 0 0
2.141  42.20  12  2 0 1
2.133  42.37  33  1 1 2
1.668  55.07  23  2 1 2
1.638  56.17  23  2 2 0
1.627  56.58  15  1 1 3
1.417  65.90  25  3 1 1
1.299  72.81  13  3 1 2
1.202  79.82  16  2 0 4



Record 7
Starting from a GGA-PBE-relaxed structure, the powder diffraction line list of Ag2Sn2Br2Cl5 was computed for copper Kα.
No peak broadening, texture or thermal motion is included.

Crystal structure
```
data_Ag2Sn2Br2Cl5
_symmetry_space_group_name_H-M 'I 4/m m m'
_symmetry_Int_Tables_number 139
_symmetry_space_group_name_Hall '-I 4 2'
_cell_length_a 5.521
_cell_length_b 5.521
_cell_length_c 23.334
_cell_angle_alpha 90.00
_cell_angle_beta 90.00
_cell_angle_gamma 90.00
loop_
_atom_site_label
_atom_site_type_symbol
_atom_site_fract_x
_atom_site_fract_y
_atom_site_fract_z
_atom_site_occupancy
Ag1 Ag 0.000 0.000 0.156 1
Sn1 Sn 0.000 0.000 0.386 1
Br1 Br 0.000 0.000 0.269 1
Cl1 Cl 0.000 0.000 0.500 1
Cl2 Cl 0.000 0.500 0.118 1
```

Top 12 peaks for 10° ≤ 2θ ≤ 80°, sorted by position:
d (Å)  Position (°2θ)  Rel. int.  (hkl)
5.833  15.19  61  0 0 4
5.373  16.50  20  1 0 1
3.904  22.78  98  1 1 0
3.702  24.04  24  1 1 2
2.760  32.43  100  2 0 0
2.495  35.99  28  2 0 4
2.347  38.36  69  1 0 9
2.005  45.23  27  2 0 8
1.952  46.53  35  2 2 0
1.788  51.08  60  2 1 9
1.746  52.41  22  3 1 0
1.318  71.57  22  3 2 9



Record 8
Starting from a GGA-PBE-relaxed structure, the powder diffraction line list of PuIn2 was computed for copper Kα.
No peak broadening, texture or thermal motion is included.

Crystal structure
Unit cell a=8.529 b=8.529 c=8.529 alpha=90.00 beta=90.00 gamma=90.00
Space group Fd-3m (No. 227, origin choice 2)
Symmetry-distinct sites (fractional):
1 Pu 0.125 0.125 0.125 x8
2 In 0.000 0.000 0.500 x16

Top 12 peaks for 10° ≤ 2θ ≤ 80°, sorted by position:
d (Å)  Position (°2θ)  Rel. int.  (hkl)
4.924  18.02  4  1 1 1
3.015  29.63  52  2 2 0
2.571  34.89  100  3 1 1
2.462  36.50  20  2 2 2
1.957  46.41  1  3 3 1
1.741  52.57  22  4 2 2
1.641  56.03  34  5 1 1
1.508  61.51  27  4 4 0
1.442  64.66  1  5 3 1
1.348  69.74  10  6 2 0
1.301  72.70  12  5 3 3
1.286  73.68  7  6 2 2



Record 9
Starting from a GGA-PBE-relaxed structure, the powder diffraction line list of BaSr11Al4O16F4 was computed for copper Kα.
No peak broadening, texture or thermal motion is included.

Crystal structure
```
data_BaSr11Al4O16F4
_symmetry_space_group_name_H-M 'P 4 2 2'
_symmetry_Int_Tables_number 89
_cell_length_a 6.874
_cell_length_b 6.874
_cell_length_c 11.265
_cell_angle_alpha 90.00
_cell_angle_beta 90.00
_cell_angle_gamma 90.00
loop_
_symmetry_equiv_pos_as_xyz
'x,y,z'
'-y,x,z'
'-x,-y,z'
'y,-x,z'
'x,-y,-z'
'-y,-x,-z'
'-x,y,-z'
'y,x,-z'
loop_
_atom_site_label
_atom_site_type_symbol
_atom_site_fract_x
_atom_site_fract_y
_atom_site_fract_z
_atom_site_occupancy
Ba1 Ba 0.000 0.000 0.000 1
Sr1 Sr 0.000 0.000 0.500 1
Sr2 Sr 0.170 0.332 0.251 1
Sr3 Sr 0.500 0.500 0.000 1
Sr4 Sr 0.500 0.500 0.500 1
Al1 Al 0.000 0.500 0.000 1
Al2 Al 0.000 0.500 0.500 1
O1 O 0.142 0.359 0.602 1
O2 O 0.144 0.363 0.897 1
F1 F 0.000 0.000 0.257 1
F2 F 0.500 0.500 0.254 1
```

Top 12 peaks for 10° ≤ 2θ ≤ 80°, sorted by position:
d (Å)  Position (°2θ)  Rel. int.  (hkl)
3.680  24.18  33  1 1 2
2.966  30.13  55  2 1 1
2.934  30.47  100  2 0 2
2.816  31.77  41  0 0 4
2.432  36.96  38  2 2 0
2.379  37.82  93  2 1 3
2.174  41.53  55  3 1 0
1.840  49.54  24  2 2 4
1.817  50.20  23  2 1 5
1.721  53.23  24  3 1 4
1.648  55.77  36  2 0 6
1.557  59.35  19  3 3 2



Record 10
Starting from a GGA-PBE-relaxed structure, the powder diffraction line list of La15Tm2In2 was computed for copper Kα.
No peak broadening, texture or thermal motion is included.

Crystal structure
```
data_La15Tm2In2
_symmetry_space_group_name_H-M 'R -3 m'
_symmetry_Int_Tables_number 166
_symmetry_space_group_name_Hall '-R 3 2"'
_cell_length_a 11.0081
_cell_length_b 11.0081
_cell_length_c 18.6121
_cell_angle_alpha 90.00
_cell_angle_beta 90.00
_cell_angle_gamma 120.00
loop_
_atom_site_label
_atom_site_type_symbol
_atom_site_fract_x
_atom_site_fract_y
_atom_site_fract_z
_atom_site_occupancy
La1 La 0.0000 0.2916 0.0000 1
La2 La 0.0000 0.5000 0.5000 1
La3 La 0.0492 0.5246 0.1266 1
Tm1 Tm 0.0000 0.0000 0.2951 1
In1 In 0.0000 0.0000 0.0951 1
```

Top 12 peaks for 10° ≤ 2θ ≤ 80°, sorted by position:
d (Å)  Position (°2θ)  Rel. int.  (hkl)
3.360  26.53  55  1 2 2
3.330  26.77  15  0 2 4
3.178  28.08  25  3 0 0
3.102  28.78  16  0 0 6
2.934  30.47  96  2 0 5
2.828  31.63  100  0 3 3
2.752  32.54  44  2 2 0
2.702  33.15  26  1 1 6
2.516  35.69  43  2 2 3
1.886  48.26  16  2 3 5
1.665  55.16  15  0 4 8
1.622  56.77  22  4 2 5



Record 11
Starting from a GGA-PBE-relaxed structure, the powder diffraction line list of Li2CaTl4 was computed for copper Kα.
No peak broadening, texture or thermal motion is included.

Crystal structure
```
data_Li2CaTl4
_symmetry_space_group_name_H-M 'I m m m'
_symmetry_Int_Tables_number 71
_symmetry_space_group_name_Hall '-I 2 2'
_cell_length_a 6.130
_cell_length_b 7.616
_cell_length_c 7.664
_cell_angle_alpha 90.00
_cell_angle_beta 90.00
_cell_angle_gamma 90.00
loop_
_atom_site_label
_atom_site_type_symbol
_atom_site_fract_x
_atom_site_fract_y
_atom_site_fract_z
_atom_site_occupancy
Li1 Li 0.250 0.000 0.000 1
Ca1 Ca 0.000 0.000 0.500 1
Tl1 Tl 0.000 0.298 0.201 1
```

Top 12 peaks for 10° ≤ 2θ ≤ 80°, sorted by position:
d (Å)  Position (°2θ)  Rel. int.  (hkl)
4.782  18.56  57  1 0 1
3.832  23.21  78  0 0 2
3.808  23.36  79  0 2 0
3.065  29.13  87  2 0 0
2.984  29.94  54  1 2 1
2.701  33.17  63  0 2 2
2.391  37.63  100  2 2 0
2.358  38.16  58  1 0 3
2.346  38.38  55  1 3 0
2.027  44.72  51  2 2 2
2.005  45.23  37  1 2 3
2.001  45.33  34  1 3 2



Record 12
Starting from a GGA-PBE-relaxed structure, the powder diffraction line list of Li10Cd6Hg was computed for copper Kα.
No peak broadening, texture or thermal motion is included.

Crystal structure
```
data_Li10Cd6Hg
_symmetry_space_group_name_H-M 'P -3 1 m'
_symmetry_Int_Tables_number 162
_symmetry_space_group_name_Hall '-P 3 2'
_cell_length_a 8.1312
_cell_length_b 8.1312
_cell_length_c 5.7142
_cell_angle_alpha 90.00
_cell_angle_beta 90.00
_cell_angle_gamma 120.00
loop_
_atom_site_label
_atom_site_type_symbol
_atom_site_fract_x
_atom_site_fract_y
_atom_site_fract_z
_atom_site_occupancy
Li1 Li 0.0000 0.2895 0.3229 1
Li2 Li 0.3333 0.6667 0.0000 1
Li3 Li 0.3333 0.6667 0.5000 1
Cd1 Cd 0.0000 0.3644 0.8181 1
Hg1 Hg 0.0000 0.0000 0.0000 1
```

Top 12 peaks for 10° ≤ 2θ ≤ 80°, sorted by position:
d (Å)  Position (°2θ)  Rel. int.  (hkl)
5.714  15.51  52  0 0 1
4.437  20.01  22  1 0 1
3.521  25.30  28  2 0 0
3.313  26.91  100  1 1 1
2.998  29.81  22  2 0 1
2.413  37.27  25  3 -1 1
2.347  38.35  56  3 0 0
2.338  38.51  61  1 1 2
2.171  41.59  24  3 0 1
1.915  47.47  17  4 -2 1
1.725  53.10  16  2 -1 3
1.656  55.48  17  4 -2 2